Entry 1:
# Na3CoO2
Computed powder diffraction line list, λ = 1.5418 Å (Cu Kα). Input: a structure optimized by DFT (PBE+U).
No peak broadening, texture or thermal motion is included.

Lattice parameters (Å, degrees): 9.4472 9.4472 4.6791 90.00 90.00 90.00
Atoms (fractional coordinates):
Na  0.0261  0.3416  0.0000
Na  0.1413  0.8587  0.5000
Na  0.1584  0.5261  0.5000
Na  0.3416  0.0261  0.0000
Na  0.3587  0.3587  0.0000
Na  0.4739  0.8416  0.5000
Na  0.5261  0.1584  0.5000
Na  0.6413  0.6413  0.0000
Na  0.6584  0.9739  0.0000
Na  0.8416  0.4739  0.5000
Na  0.8587  0.1413  0.5000
Na  0.9739  0.6584  0.0000
Co  0.1769  0.1769  0.5000
Co  0.3231  0.6769  0.0000
Co  0.6769  0.3231  0.0000
Co  0.8231  0.8231  0.5000
O  0.0401  0.3048  0.5000
O  0.1952  0.5401  0.0000
O  0.3048  0.0401  0.5000
O  0.4599  0.8048  0.0000
O  0.5401  0.1952  0.0000
O  0.6952  0.9599  0.5000
O  0.8048  0.4599  0.0000
O  0.9599  0.6952  0.5000

Most intense lines, 2θ = 10–80°, in order of falling intensity:
2θ (°)  Rel. int.
34.3  100
21.2  64
40.5  60
38.5  49
21.0  40
57.1  39
23.2  37
69.7  19
58.7  18
18.8  17

=====

Entry 2:
# Na6CoO4
Computed powder diffraction line list, λ = 1.5418 Å (Cu Kα). Input: a structure optimized by DFT (PBE+U).
No peak broadening, texture or thermal motion is included.

Lattice parameters (Å, degrees): 7.6571 7.6571 5.8948 90.00 90.00 120.00
Atoms (fractional coordinates):
Na  0.0744  0.5372  0.0000
Na  0.1424  0.2848  0.6682
Na  0.1424  0.8576  0.6682
Na  0.2848  0.1424  0.1682
Na  0.4628  0.5372  0.0000
Na  0.4628  0.9256  0.0000
Na  0.5372  0.0744  0.5000
Na  0.5372  0.4628  0.5000
Na  0.7152  0.8576  0.6682
Na  0.8576  0.1424  0.1682
Na  0.8576  0.7152  0.1682
Na  0.9256  0.4628  0.5000
Co  0.3333  0.6667  0.3901
Co  0.6667  0.3333  0.8901
O  0.1894  0.3788  0.2774
O  0.1894  0.8106  0.2774
O  0.3333  0.6667  0.7271
O  0.3788  0.1894  0.7774
O  0.6212  0.8106  0.2774
O  0.6667  0.3333  0.2271
O  0.8106  0.1894  0.7774
O  0.8106  0.6212  0.7774

Most intense lines, 2θ = 10–80°, in order of falling intensity:
2θ (°)  Rel. int.
39.1  100
13.4  64
47.5  58
20.2  54
41.0  45
33.3  32
38.5  26
48.3  22
43.7  20
54.3  18

=====

Entry 3:
# Na2Co3O6
Computed powder diffraction line list, λ = 1.5418 Å (Cu Kα). Input: a structure optimized by DFT (PBE+U).
No peak broadening, texture or thermal motion is included.

Lattice parameters (Å, degrees): 6.7489 6.8760 6.8760 71.92 90.00 90.00
Atoms (fractional coordinates):
Na  0.0000  0.0000  0.0000
Na  0.0000  0.3345  0.6741
Na  0.0000  0.6741  0.3345
Na  0.5000  0.5309  0.5309
Co  0.2443  0.7698  0.7698
Co  0.2496  0.0965  0.4346
Co  0.2496  0.4346  0.0965
Co  0.7504  0.0965  0.4346
Co  0.7504  0.4346  0.0965
Co  0.7557  0.7698  0.7698
O  0.2270  0.0490  0.7082
O  0.2270  0.7082  0.0490
O  0.2353  0.1603  0.1603
O  0.2366  0.3766  0.3766
O  0.2509  0.4906  0.8213
O  0.2509  0.8213  0.4906
O  0.7491  0.4906  0.8213
O  0.7491  0.8213  0.4906
O  0.7634  0.3766  0.3766
O  0.7647  0.1603  0.1603
O  0.7730  0.0490  0.7082
O  0.7730  0.7082  0.0490

Most intense lines, 2θ = 10–80°, in order of falling intensity:
2θ (°)  Rel. int.
15.9  100
31.0  98
26.4  69
49.8  45
41.4  33
53.4  26
60.5  24
34.3  16
43.8  15
54.4  14